Record 1
This entry pairs a crystal structure of Ho4TcBr5 with its theoretical powder diffractogram. Radiation: λ = 1.5418 Å (Cu Kα). Structure: a structure optimized by DFT (PBE).
Kinematic intensities with the Lorentz-polarization factor, no thermal factor.

Cell and atoms:
Lattice parameters (Å, degrees): 18.368 3.774 9.152 90.00 104.33 90.00
Space group C2/m (No. 12)
Inequivalent atoms, fractional coordinates:
Ho 0.002 0.000 0.233
Ho 0.142 0.500 0.074
Tc 0.000 0.500 0.000
Br 0.000 0.500 0.500
Br 0.169 0.000 0.324
Br 0.174 0.000 0.850

Top 8 peaks for 10 to 90 degrees two-theta, in order of rising 2θ:
| 2theta | I_rel | hkl |
| --- | --- | --- |
| 30.1 | 42.0 | 6 0 0 |
| 30.7 | 100.0 | 1 1 -2 |
| 31.9 | 11.7 | 6 0 -2 |
| 39.4 | 23.8 | 2 0 -4 |
| 43.6 | 59.2 | 5 1 2 |
| 48.2 | 14.4 | 0 2 0 |
| 57.9 | 15.1 | 6 2 0 |
| 63.9 | 11.3 | 2 2 -4 |



Record 2
This entry pairs a crystal structure of CrAg2Pt with its theoretical powder diffractogram. Radiation: λ = 1.5418 Å (Cu Kα). Structure: a structure optimized by DFT (PBE).
Kinematic intensities with the Lorentz-polarization factor, no thermal factor.

Cell and atoms:
Lattice parameters (Å, degrees): 2.843 4.892 4.833 90.00 92.24 90.00
Space group P2/m (No. 10)
Inequivalent atoms, fractional coordinates:
Cr 0.000 0.000 0.000
Ag 0.252 0.500 0.751
Pt 0.500 0.000 0.500

Top 8 peaks for 10 to 90 degrees two-theta, in order of rising 2θ:
| 2theta | I_rel | hkl |
| --- | --- | --- |
| 18.4 | 29.9 | 0 0 1 |
| 25.9 | 27.7 | 0 1 1 |
| 36.7 | 66.5 | 0 2 0 |
| 37.3 | 63.6 | 1 0 1 |
| 40.6 | 100.0 | 1 1 -1 |
| 41.7 | 92.7 | 0 1 2 |
| 53.4 | 44.2 | 1 2 1 |
| 68.8 | 40.2 | 2 1 0 |



Record 3
This entry pairs a crystal structure of K2La2BiO6 with its theoretical powder diffractogram. Radiation: λ = 1.5418 Å (Cu Kα). Structure: a structure optimized by DFT (PBE).
Kinematic intensities with the Lorentz-polarization factor, no thermal factor.

Cell and atoms:
Lattice parameters (Å, degrees): 6.346 10.918 6.698 90.00 106.31 90.00
Space group C2/m (No. 12)
Inequivalent atoms, fractional coordinates:
K 0.000 0.160 0.000
La 0.000 0.335 0.500
Bi 0.000 0.000 0.500
O 0.210 0.165 0.679
O 0.250 0.000 0.314

Top 8 peaks for 10 to 90 degrees two-theta, in order of rising 2θ:
| 2theta | I_rel | hkl |
| --- | --- | --- |
| 13.8 | 100.0 | 0 0 1 |
| 27.8 | 24.7 | 0 0 2 |
| 28.6 | 27.0 | 1 3 0 |
| 29.3 | 19.1 | 2 0 0 |
| 29.9 | 35.5 | 1 3 -1 |
| 33.7 | 51.0 | 1 3 1 |
| 34.4 | 24.2 | 2 0 -2 |
| 49.9 | 16.5 | 3 3 -1 |